# Nd2Fe15Si2H2
Computed powder diffractogram, Cu Kα, 1.54184 Å. Input: a structure optimized by DFT (GGA-PBE).

Most intense lines, 2θ = 10–90°, by angle:
d = 2.980 Å, rel. 43
d = 2.449 Å, rel. 29
d = 2.387 Å, rel. 28
d = 2.121 Å, rel. 59
d = 2.114 Å, rel. 100
d = 2.093 Å, rel. 39

Atomic structure:
```
Nd2Fe15Si2H2
1.0
4.8446 -4.2437 0.0000
4.8446 4.2437 0.0000
-1.1451 0.0000 6.3471
Nd Fe Si H
2 15 2 2
direct
0.1513 0.1513 0.3453
0.8487 0.8487 0.6547
0.0000 0.5000 0.0000
0.1598 0.6517 0.3396
0.1611 0.1611 0.8471
0.2150 0.7850 0.0000
0.2186 0.5003 0.7189
0.3483 0.8402 0.6604
0.5000 0.0000 0.0000
0.5003 0.2186 0.7189
0.5000 0.5000 0.5000
0.4997 0.7814 0.2811
0.6517 0.1598 0.3396
0.7814 0.4997 0.2811
0.7850 0.2150 0.0000
0.8389 0.8389 0.1529
0.8402 0.3483 0.6604
0.3986 0.3986 0.1022
0.6014 0.6014 0.8978
0.0000 0.5000 0.5000
0.5000 0.0000 0.5000
```